This entry pairs a crystal structure of Dy2ReOs3 with its theoretical XRD peak list. Radiation: Cu Kα (weighted mean of Kα1 and Kα2). Structure: a cell relaxed with GGA-PBE.
Lines closer than 0.1° are merged.

Atomic structure:
a b c (Å): 5.4469 5.4469 8.5168
angles (deg): 90.00 90.00 120.00
Atoms (fractional coordinates):
Dy 0.3333 0.6667 0.0656
Dy 0.3333 0.6667 0.4344
Dy 0.6667 0.3333 0.5656
Dy 0.6667 0.3333 0.9344
Re 0.0000 0.0000 0.0000
Re 0.0000 0.0000 0.5000
Os 0.1729 0.3458 0.7500
Os 0.1729 0.8271 0.7500
Os 0.3458 0.1729 0.2500
Os 0.6542 0.8271 0.7500
Os 0.8271 0.1729 0.2500
Os 0.8271 0.6542 0.2500

Largest 6 diffraction maxima, low angle first, 5 to 70 degrees two-theta:
2θ = 37.0°, rel. 66; 2θ = 39.3°, rel. 100; 2θ = 39.7°, rel. 100; 2θ = 43.9°, rel. 27; 2θ = 67.9°, rel. 31; 2θ = 69.0°, rel. 31


This entry pairs a crystal structure of DySi3OsRu with its theoretical XRD peak list. Radiation: Cu Kα (weighted mean of Kα1 and Kα2). Structure: a cell relaxed with GGA-PBE.
Lines closer than 0.1° are merged.

Atomic structure:
a b c (Å): 6.8342 6.8342 5.3862
angles (deg): 90.00 90.00 112.17
Atoms (fractional coordinates):
Dy 0.2182 0.7818 0.7500
Dy 0.7818 0.2182 0.2500
Si 0.2516 0.7484 0.2500
Si 0.2528 0.2528 0.0000
Si 0.2528 0.2528 0.5000
Si 0.7472 0.7472 0.0000
Si 0.7472 0.7472 0.5000
Si 0.7484 0.2516 0.7500
Os 0.0562 0.9438 0.2500
Os 0.9438 0.0562 0.7500
Ru 0.4419 0.5581 0.2500
Ru 0.5581 0.4419 0.7500

Largest 6 diffraction maxima, low angle first, 5 to 70 degrees two-theta:
2θ = 14.0°, rel. 29; 2θ = 23.3°, rel. 72; 2θ = 31.2°, rel. 100; 2θ = 33.3°, rel. 29; 2θ = 41.0°, rel. 53; 2θ = 46.2°, rel. 34


This entry pairs a crystal structure of DySi7Os3 with its theoretical XRD peak list. Radiation: Cu Kα (weighted mean of Kα1 and Kα2). Structure: a cell relaxed with GGA-PBE.
Lines closer than 0.1° are merged.

Atomic structure:
a b c (Å): 8.0092 8.0092 8.0092
angles (deg): 57.10 57.10 57.10
Atoms (fractional coordinates):
Dy 0.0000 0.0000 0.0000
Dy 0.5000 0.5000 0.5000
Si 0.0630 0.8537 0.6690
Si 0.1463 0.3310 0.9370
Si 0.1690 0.3537 0.5630
Si 0.2500 0.2500 0.2500
Si 0.3310 0.9370 0.1463
Si 0.3537 0.5630 0.1690
Si 0.4370 0.8310 0.6463
Si 0.5630 0.1690 0.3537
Si 0.6463 0.4370 0.8310
Si 0.6690 0.0630 0.8537
Si 0.7500 0.7500 0.7500
Si 0.8310 0.6463 0.4370
Si 0.8537 0.6690 0.0630
Si 0.9370 0.1463 0.3310
Os 0.0783 0.7500 0.4217
Os 0.2500 0.5783 0.9217
Os 0.4217 0.0783 0.7500
Os 0.5783 0.9217 0.2500
Os 0.7500 0.4217 0.0783
Os 0.9217 0.2500 0.5783

Largest 6 diffraction maxima, low angle first, 5 to 70 degrees two-theta:
2θ = 26.8°, rel. 100; 2θ = 35.7°, rel. 40; 2θ = 40.8°, rel. 42; 2θ = 47.2°, rel. 34; 2θ = 49.5°, rel. 48; 2θ = 66.1°, rel. 19


This entry pairs a crystal structure of DySi3Os3 with its theoretical XRD peak list. Radiation: Cu Kα (weighted mean of Kα1 and Kα2). Structure: a cell relaxed with GGA-PBE.
Lines closer than 0.1° are merged.

Atomic structure:
a b c (Å): 7.6593 7.6593 7.6593
angles (deg): 51.42 51.42 51.42
Atoms (fractional coordinates):
Dy 0.1656 0.1656 0.1656
Dy 0.8344 0.8344 0.8344
Si 0.1502 0.6897 0.3895
Si 0.3103 0.6105 0.8498
Si 0.3895 0.1502 0.6897
Si 0.6105 0.8498 0.3103
Si 0.6897 0.3895 0.1502
Si 0.8498 0.3103 0.6105
Os 0.0129 0.5906 0.2545
Os 0.2545 0.0129 0.5906
Os 0.4094 0.7455 0.9871
Os 0.5906 0.2545 0.0129
Os 0.7455 0.9871 0.4094
Os 0.9871 0.4094 0.7455

Largest 6 diffraction maxima, low angle first, 5 to 70 degrees two-theta:
2θ = 13.4°, rel. 26; 2θ = 30.1°, rel. 100; 2θ = 38.4°, rel. 67; 2θ = 41.8°, rel. 21; 2θ = 47.4°, rel. 29; 2θ = 62.6°, rel. 20